1.
This entry pairs a crystal structure of Gd5Ir with its calculated PXRD pattern. Radiation: λ = 1.5418 Å (Cu Kα). Structure: a DFT-relaxed cell (GGA-PBE, OQMD).
Peak positions follow from Bragg's law for the DFT cell and can differ from measured ones.

Structure:
```
data_Gd5Ir
_chemical_formula_sum 'Gd20 Ir4'
_space_group_name_H-M_alt 'P n m a'
_space_group_IT_number 62
_cell_length_a 7.066
_cell_length_b 15.641
_cell_length_c 6.419
_cell_angle_alpha 90.00
_cell_angle_beta 90.00
_cell_angle_gamma 90.00
loop_
_space_group_symop_operation_xyz
'x,y,z'
'-x,-y,-z'
'-x+1/2,-y,z+1/2'
'x+1/2,y,-z+1/2'
'x+1/2,-y+1/2,-z+1/2'
'-x+1/2,y+1/2,z+1/2'
'-x,y+1/2,-z'
'x,-y+1/2,z'
loop_
_atom_site_label
_atom_site_fract_x
_atom_site_fract_y
_atom_site_fract_z
Gd1 0.040 0.136 0.175
Gd2 0.109 0.750 0.359
Gd3 0.179 0.058 0.658
Ir1 0.243 0.250 0.447
```

Peak list (6 most intense, 15 to 90 degrees two-theta, most intense first)
2theta, Rel. int.
31.11, 100
31.82, 74
32.71, 68
33.67, 53
30.57, 51
34.35, 49

2.
This entry pairs a crystal structure of Gd5Ir2 with its calculated PXRD pattern. Radiation: λ = 1.5418 Å (Cu Kα). Structure: a DFT-relaxed cell (GGA-PBE, OQMD).
Peak positions follow from Bragg's law for the DFT cell and can differ from measured ones.

Structure:
```
data_Gd5Ir2
_chemical_formula_sum 'Gd20 Ir8'
_space_group_name_H-M_alt 'C 1 2/c 1'
_space_group_IT_number 15
_cell_length_a 16.047
_cell_length_b 6.526
_cell_length_c 7.223
_cell_angle_alpha 90.00
_cell_angle_beta 97.04
_cell_angle_gamma 90.00
loop_
_space_group_symop_operation_xyz
'x,y,z'
'-x,-y,-z'
'-x,y,-z+1/2'
'x,-y,z+1/2'
'x+1/2,y+1/2,z'
'-x+1/2,-y+1/2,-z'
'-x+1/2,y+1/2,-z+1/2'
'x+1/2,-y+1/2,z+1/2'
loop_
_atom_site_label
_atom_site_fract_x
_atom_site_fract_y
_atom_site_fract_z
Gd1 0.000 0.071 0.250
Gd2 0.093 0.386 0.919
Gd3 0.219 0.068 0.316
Ir1 0.111 0.212 0.575
```

Peak list (6 most intense, 15 to 90 degrees two-theta, most intense first)
2theta, Rel. int.
31.48, 100
31.25, 88
39.93, 85
19.66, 83
35.01, 71
35.57, 65

3.
This entry pairs a crystal structure of La2GdMg3Ir3 with its calculated PXRD pattern. Radiation: λ = 1.5418 Å (Cu Kα). Structure: a DFT-relaxed cell (GGA-PBE, OQMD).
Peak positions follow from Bragg's law for the DFT cell and can differ from measured ones.

Structure:
```
data_La2GdMg3Ir3
_chemical_formula_sum 'La4 Gd2 Mg6 Ir6'
_space_group_name_H-M_alt 'A m m 2'
_space_group_IT_number 38
_cell_length_a 4.166
_cell_length_b 12.902
_cell_length_c 7.403
_cell_angle_alpha 90.00
_cell_angle_beta 90.00
_cell_angle_gamma 90.00
loop_
_space_group_symop_operation_xyz
'x,y,z'
'-x,-y,z'
'-x,y,z'
'x,-y,z'
'x,y+1/2,z+1/2'
'-x,-y+1/2,z+1/2'
'-x,y+1/2,z+1/2'
'x,-y+1/2,z+1/2'
loop_
_atom_site_label
_atom_site_fract_x
_atom_site_fract_y
_atom_site_fract_z
La1 0.000 0.207 0.000
Gd1 0.000 0.000 0.617
Mg1 0.500 0.000 0.966
Mg2 0.500 0.118 0.331
Ir1 0.000 0.000 0.214
Ir2 0.500 0.163 0.709
```

Peak list (6 most intense, 15 to 90 degrees two-theta, most intense first)
2theta, Rel. int.
35.30, 100
32.30, 99
35.19, 60
23.93, 58
25.48, 49
42.22, 40

4.
This entry pairs a crystal structure of La2GdMg3Ir2Pd with its calculated PXRD pattern. Radiation: λ = 1.5418 Å (Cu Kα). Structure: a DFT-relaxed cell (GGA-PBE, OQMD).
Peak positions follow from Bragg's law for the DFT cell and can differ from measured ones.

Structure:
```
data_La2GdMg3Ir2Pd
_chemical_formula_sum 'La4 Gd2 Mg6 Ir4 Pd2'
_space_group_name_H-M_alt 'A m m 2'
_space_group_IT_number 38
_cell_length_a 4.108
_cell_length_b 13.073
_cell_length_c 7.502
_cell_angle_alpha 90.00
_cell_angle_beta 90.00
_cell_angle_gamma 90.00
loop_
_space_group_symop_operation_xyz
'x,y,z'
'-x,-y,z'
'-x,y,z'
'x,-y,z'
'x,y+1/2,z+1/2'
'-x,-y+1/2,z+1/2'
'-x,y+1/2,z+1/2'
'x,-y+1/2,z+1/2'
loop_
_atom_site_label
_atom_site_fract_x
_atom_site_fract_y
_atom_site_fract_z
La1 0.000 0.211 0.000
Gd1 0.000 0.000 0.627
Mg1 0.500 0.000 0.964
Mg2 0.500 0.119 0.336
Ir1 0.500 0.163 0.712
Pd1 0.000 0.000 0.218
```

Peak list (6 most intense, 15 to 90 degrees two-theta, most intense first)
2theta, Rel. int.
32.26, 100
35.19, 70
35.09, 42
23.61, 34
44.09, 26
41.64, 25

5.
This entry pairs a crystal structure of LaGdP2Ir2O2 with its calculated PXRD pattern. Radiation: λ = 1.5418 Å (Cu Kα). Structure: a DFT-relaxed cell (GGA-PBE, OQMD).
Peak positions follow from Bragg's law for the DFT cell and can differ from measured ones.

Structure:
```
data_LaGdP2Ir2O2
_chemical_formula_sum 'La1 Gd1 P2 Ir2 O2'
_space_group_name_H-M_alt 'P 4 m m'
_space_group_IT_number 99
_cell_length_a 3.991
_cell_length_b 3.991
_cell_length_c 8.313
_cell_angle_alpha 90.00
_cell_angle_beta 90.00
_cell_angle_gamma 90.00
loop_
_space_group_symop_operation_xyz
'x,y,z'
'-y,x,z'
'-x,-y,z'
'y,-x,z'
'-x,y,z'
'y,x,z'
'x,-y,z'
'-y,-x,z'
loop_
_atom_site_label
_atom_site_fract_x
_atom_site_fract_y
_atom_site_fract_z
La1 0.000 0.000 0.000
Gd1 0.500 0.500 0.716
P1 0.000 0.000 0.520
P2 0.500 0.500 0.207
Ir1 0.000 0.500 0.364
O1 0.000 0.500 0.848
```

Peak list (6 most intense, 15 to 90 degrees two-theta, most intense first)
2theta, Rel. int.
33.53, 100
38.56, 70
31.06, 59
54.86, 51
45.45, 51
32.31, 34

6.
This entry pairs a crystal structure of PrGd2Mg3Ir2Pd with its calculated PXRD pattern. Radiation: λ = 1.5418 Å (Cu Kα). Structure: a DFT-relaxed cell (GGA-PBE, OQMD).
Peak positions follow from Bragg's law for the DFT cell and can differ from measured ones.

Structure:
```
data_PrGd2Mg3Ir2Pd
_chemical_formula_sum 'Pr2 Gd4 Mg6 Ir4 Pd2'
_space_group_name_H-M_alt 'A m m 2'
_space_group_IT_number 38
_cell_length_a 4.065
_cell_length_b 12.950
_cell_length_c 7.423
_cell_angle_alpha 90.00
_cell_angle_beta 90.00
_cell_angle_gamma 90.00
loop_
_space_group_symop_operation_xyz
'x,y,z'
'-x,-y,z'
'-x,y,z'
'x,-y,z'
'x,y+1/2,z+1/2'
'-x,-y+1/2,z+1/2'
'-x,y+1/2,z+1/2'
'x,-y+1/2,z+1/2'
loop_
_atom_site_label
_atom_site_fract_x
_atom_site_fract_y
_atom_site_fract_z
Pr1 0.000 0.000 0.000
Gd1 0.000 0.208 0.626
Mg1 0.500 0.000 0.664
Mg2 0.500 0.125 0.296
Ir1 0.500 0.171 0.917
Pd1 0.000 0.000 0.423
```

Peak list (6 most intense, 15 to 90 degrees two-theta, most intense first)
2theta, Rel. int.
32.61, 100
35.57, 75
23.85, 33
35.45, 31
44.58, 25
42.09, 25

7.
This entry pairs a crystal structure of GdIrNO with its calculated PXRD pattern. Radiation: λ = 1.5418 Å (Cu Kα). Structure: a DFT-relaxed cell (GGA-PBE, OQMD).
Peak positions follow from Bragg's law for the DFT cell and can differ from measured ones.

Structure:
```
data_GdIrNO
_chemical_formula_sum 'Gd4 Ir4 N4 O4'
_space_group_name_H-M_alt 'P c a 21'
_space_group_IT_number 29
_cell_length_a 5.530
_cell_length_b 7.935
_cell_length_c 5.246
_cell_angle_alpha 90.00
_cell_angle_beta 90.00
_cell_angle_gamma 90.00
loop_
_space_group_symop_operation_xyz
'x,y,z'
'-x,-y,z+1/2'
'-x+1/2,y,z+1/2'
'x+1/2,-y,z'
loop_
_atom_site_label
_atom_site_fract_x
_atom_site_fract_y
_atom_site_fract_z
Gd1 0.023 0.145 0.000
Ir1 0.080 0.475 0.673
N1 0.134 0.349 0.339
O1 0.250 0.980 0.247
```

Peak list (6 most intense, 15 to 90 degrees two-theta, most intense first)
2theta, Rel. int.
32.60, 100
36.06, 66
25.96, 62
38.51, 56
33.89, 55
22.41, 46

8.
This entry pairs a crystal structure of TbGdP2Ir2N2 with its calculated PXRD pattern. Radiation: λ = 1.5418 Å (Cu Kα). Structure: a DFT-relaxed cell (GGA-PBE, OQMD).
Peak positions follow from Bragg's law for the DFT cell and can differ from measured ones.

Structure:
```
data_TbGdP2Ir2N2
_chemical_formula_sum 'Tb1 Gd1 P2 Ir2 N2'
_space_group_name_H-M_alt 'P 4 m m'
_space_group_IT_number 99
_cell_length_a 4.009
_cell_length_b 4.009
_cell_length_c 8.308
_cell_angle_alpha 90.00
_cell_angle_beta 90.00
_cell_angle_gamma 90.00
loop_
_space_group_symop_operation_xyz
'x,y,z'
'-y,x,z'
'-x,-y,z'
'y,-x,z'
'-x,y,z'
'y,x,z'
'x,-y,z'
'-y,-x,z'
loop_
_atom_site_label
_atom_site_fract_x
_atom_site_fract_y
_atom_site_fract_z
Tb1 0.000 0.000 0.000
Gd1 0.500 0.500 0.749
P1 0.000 0.000 0.529
P2 0.500 0.500 0.219
Ir1 0.000 0.500 0.374
N1 0.000 0.500 0.876
```

Peak list (6 most intense, 15 to 90 degrees two-theta, most intense first)
2theta, Rel. int.
33.40, 100
31.00, 58
54.79, 49
45.24, 45
38.45, 44
21.39, 39

- Number 3 is which compound?
  La2GdMg3Ir3